CeZn3Ga3: simulated powder XRD pattern (Cu Kα (weighted mean of Kα1 and Kα2)), based on a GGA-PBE-relaxed structure.
Lines closer than 0.1° are merged.

```
14
Lattice="3.667 2.117 5.589 -3.667 2.117 5.589 0.000 -4.235 5.589" Properties=species:S:1:pos:R:3 pbc="T T T"
Ce 0.000 0.000 2.127
Ce 0.000 0.000 14.640
Zn -1.379 -0.796 7.362
Zn 0.000 -1.592 9.405
Zn -1.379 0.796 9.405
Zn 1.379 -0.796 7.362
Zn 0.000 1.592 7.362
Zn 1.379 0.796 9.405
Ga 0.000 -1.648 5.114
Ga -1.427 0.824 5.114
Ga -1.427 -0.824 11.653
Ga 1.427 0.824 5.114
Ga 1.427 -0.824 11.653
Ga 0.000 1.648 11.653
```

Most intense lines, 10 to 80 degrees two-theta, in order of rising 2θ:
2θ = 29.12°, rel. 248; 2θ = 35.46°, rel. 1000; 2θ = 37.86°, rel. 489; 2θ = 39.06°, rel. 143; 2θ = 40.24°, rel. 252; 2θ = 45.83°, rel. 372; 2θ = 49.72°, rel. 178; 2θ = 52.29°, rel. 212; 2θ = 56.68°, rel. 166; 2θ = 58.44°, rel. 141

Ce3Zn3Ga2: simulated powder XRD pattern (Cu Kα (weighted mean of Kα1 and Kα2)), based on a GGA-PBE-relaxed structure.
Lines closer than 0.1° are merged.

```
16
Lattice="2.247 -5.292 0.000 2.247 5.292 0.000 0.000 0.000 14.775" Properties=species:S:1:pos:R:3 pbc="T T T"
Ce 2.247 4.274 9.002
Ce 2.247 4.274 13.160
Ce 2.247 1.356 11.081
Ce 2.247 -1.356 3.694
Ce 2.247 -4.274 1.615
Ce 2.247 -4.274 5.773
Zn 2.247 1.736 3.694
Zn 2.247 1.200 7.905
Zn 2.247 1.200 14.257
Zn 2.247 -1.200 0.517
Zn 2.247 -1.200 6.870
Zn 2.247 -1.736 11.081
Ga 2.247 3.163 1.476
Ga 2.247 3.163 5.911
Ga 2.247 -3.163 8.863
Ga 2.247 -3.163 13.299
```

Most intense lines, 10 to 80 degrees two-theta, in order of rising 2θ:
2θ = 24.68°, rel. 183; 2θ = 32.50°, rel. 1000; 2θ = 32.84°, rel. 552; 2θ = 33.88°, rel. 249; 2θ = 34.77°, rel. 158; 2θ = 36.49°, rel. 183; 2θ = 37.19°, rel. 327; 2θ = 40.12°, rel. 421; 2θ = 40.66°, rel. 387; 2θ = 55.34°, rel. 158

What did the first record say?
CeZn3Ga3: simulated powder XRD pattern (Cu Kα (weighted mean of Kα1 and Kα2)), based on a GGA-PBE-relaxed structure.
Lines closer than 0.1° are merged.

```
14
Lattice="3.667 2.117 5.589 -3.667 2.117 5.589 0.000 -4.235 5.589" Properties=species:S:1:pos:R:3 pbc="T T T"
Ce 0.000 0.000 2.127
Ce 0.000 0.000 14.640
Zn -1.379 -0.796 7.362
Zn 0.000 -1.592 9.405
Zn -1.379 0.796 9.405
Zn 1.379 -0.796 7.362
Zn 0.000 1.592 7.362
Zn 1.379 0.796 9.405
Ga 0.000 -1.648 5.114
Ga -1.427 0.824 5.114
Ga -1.427 -0.824 11.653
Ga 1.427 0.824 5.114
Ga 1.427 -0.824 11.653
Ga 0.000 1.648 11.653
```

Most intense lines, 10 to 80 degrees two-theta, in order of rising 2θ:
2θ = 29.12°, rel. 248; 2θ = 35.46°, rel. 1000; 2θ = 37.86°, rel. 489; 2θ = 39.06°, rel. 143; 2θ = 40.24°, rel. 252; 2θ = 45.83°, rel. 372; 2θ = 49.72°, rel. 178; 2θ = 52.29°, rel. 212; 2θ = 56.68°, rel. 166; 2θ = 58.44°, rel. 141